Diffraction record for TlMoP2O. The powder diffraction line list is theoretical, not measured: it uses a GGA+U-relaxed structure and Cu Ka.
Kinematic intensities with the Lorentz-polarization factor, no thermal factor.

Structural model:
```
TlMoP2O
1.0
4.920 0.000 0.000
0.000 4.920 0.000
0.000 0.000 3.856
Tl Mo P O
1 1 2 1
Direct
0.000 0.000 0.000
0.500 0.500 0.500
0.000 0.500 0.500
0.500 0.000 0.500
0.500 0.500 0.000
```

Peak list (6 most intense, 2θ = 10–90°, sorted by position)
h k l, 2θ/deg, intensity
1 1 0, 25.6, 57
1 0 1, 29.4, 100
1 1 1, 34.7, 27
2 0 0, 36.5, 51
2 1 1, 47.6, 54
2 0 2, 61.1, 22